Sc2GeO5: computed powder XRD pattern (Cu Ka), based on a structure optimized by DFT (GGA-PBE).
Neutral-atom scattering factors, no anomalous dispersion.

The 12 most intense peaks (2θ from 15° to 90°), in order of falling intensity:
2θ 25.7, I = 100.0
2θ 30.1, I = 87.9
2θ 49.7, I = 26.2
2θ 16.7, I = 18.4
2θ 42.5, I = 17.6
2θ 35.0, I = 16.8
2θ 35.3, I = 16.1
2θ 19.8, I = 15.6
2θ 28.0, I = 15.1
2θ 16.5, I = 12.8
2θ 33.8, I = 12.6
2θ 60.7, I = 12.5

Crystal structure
```
data_Sc2GeO5
_space_group_name_H-M_alt 'P 1'
_space_group_IT_number 1
_cell_length_a 7.6441
_cell_length_b 7.6441
_cell_length_c 10.7648
_cell_angle_alpha 92.49
_cell_angle_beta 92.49
_cell_angle_gamma 87.71
loop_
_space_group_symop_operation_xyz
'x,y,z'
loop_
_atom_site_label
_atom_site_fract_x
_atom_site_fract_y
_atom_site_fract_z
Sc1 0.1300 0.8483 0.5706
Sc2 0.1393 0.5072 0.7546
Sc3 0.1517 0.8700 0.9294
Sc4 0.1960 0.4940 0.0616
Sc5 0.4928 0.8607 0.7454
Sc6 0.4940 0.1960 0.5616
Sc7 0.5060 0.8040 0.4384
Sc8 0.5072 0.1393 0.2546
Sc9 0.8040 0.5060 0.9384
Sc10 0.8483 0.1300 0.0706
Sc11 0.8607 0.4928 0.2454
Sc12 0.8700 0.1517 0.4294
Ge1 0.1435 0.8565 0.2500
Ge2 0.2256 0.4389 0.4562
Ge3 0.4389 0.2256 0.9562
Ge4 0.5611 0.7744 0.0438
Ge5 0.7744 0.5611 0.5438
Ge6 0.8565 0.1435 0.7500
O1 0.0184 0.3748 0.3959
O2 0.0357 0.9401 0.3855
O3 0.0367 0.6305 0.9246
O4 0.0599 0.9643 0.1145
O5 0.0939 0.6324 0.2194
O6 0.2376 0.7624 0.7500
O7 0.2751 0.6619 0.4539
O8 0.2780 0.3692 0.6121
O9 0.3011 0.3897 0.8865
O10 0.3381 0.7249 0.0461
O11 0.3676 0.9061 0.2806
O12 0.3692 0.2780 0.1121
O13 0.3695 0.9633 0.5754
O14 0.3748 0.0184 0.8959
O15 0.3897 0.3011 0.3865
O16 0.6103 0.6989 0.6135
O17 0.6252 0.9816 0.1041
O18 0.6305 0.0367 0.4246
O19 0.6308 0.7220 0.8879
O20 0.6324 0.0939 0.7194
O21 0.6619 0.2751 0.9539
O22 0.6989 0.6103 0.1135
O23 0.7220 0.6308 0.3879
O24 0.7249 0.3381 0.5461
O25 0.7624 0.2376 0.2500
O26 0.9061 0.3676 0.7806
O27 0.9401 0.0357 0.8855
O28 0.9633 0.3695 0.0754
O29 0.9643 0.0599 0.6145
O30 0.9816 0.6252 0.6041
```

=====

Sr2LiBeB3O8: computed powder XRD pattern (Cu Ka), based on a structure optimized by DFT (GGA-PBE).
Neutral-atom scattering factors, no anomalous dispersion.

The 12 most intense peaks (2θ from 15° to 90°), in order of falling intensity:
2θ 29.0, I = 100.0
2θ 30.8, I = 94.6
2θ 31.7, I = 89.0
2θ 32.3, I = 88.6
2θ 25.9, I = 78.6
2θ 17.2, I = 74.2
2θ 27.5, I = 72.5
2θ 25.4, I = 65.6
2θ 31.3, I = 64.2
2θ 44.9, I = 63.1
2θ 43.9, I = 51.6
2θ 28.1, I = 49.1

Crystal structure
```
data_Sr2LiBeB3O8
_space_group_name_H-M_alt 'P 1'
_space_group_IT_number 1
_cell_length_a 8.6838
_cell_length_b 6.5584
_cell_length_c 13.0330
_cell_angle_alpha 90.00
_cell_angle_beta 106.65
_cell_angle_gamma 90.00
loop_
_space_group_symop_operation_xyz
'x,y,z'
loop_
_atom_site_label
_atom_site_fract_x
_atom_site_fract_y
_atom_site_fract_z
Sr1 0.0357 0.1108 0.1581
Sr2 0.0357 0.3892 0.6581
Sr3 0.3570 0.2434 0.9275
Sr4 0.3570 0.2566 0.4275
Sr5 0.6430 0.7434 0.5725
Sr6 0.6430 0.7566 0.0725
Sr7 0.9643 0.6108 0.3419
Sr8 0.9643 0.8892 0.8419
Li1 0.3733 0.7310 0.3282
Li2 0.3733 0.7690 0.8282
Li3 0.6267 0.2310 0.1718
Li4 0.6267 0.2690 0.6718
Be1 0.3242 0.0698 0.6554
Be2 0.3242 0.4302 0.1554
Be3 0.6758 0.5698 0.8446
Be4 0.6758 0.9302 0.3446
B1 0.0636 0.6520 0.1199
B2 0.0636 0.8480 0.6199
B3 0.2615 0.7309 0.0142
B4 0.2615 0.7691 0.5142
B5 0.4022 0.0512 0.2064
B6 0.4022 0.4488 0.7064
B7 0.5978 0.5512 0.2936
B8 0.5978 0.9488 0.7936
B9 0.7385 0.2309 0.4858
B10 0.7385 0.2691 0.9858
B11 0.9364 0.1520 0.3801
B12 0.9364 0.3480 0.8801
O1 0.0569 0.2376 0.3475
O2 0.0569 0.2624 0.8475
O3 0.1157 0.7318 0.5421
O4 0.1157 0.7682 0.0421
O5 0.1404 0.0243 0.6600
O6 0.1404 0.4757 0.1600
O7 0.2911 0.6424 0.4398
O8 0.2911 0.8576 0.9398
O9 0.3065 0.5048 0.7689
O10 0.3065 0.9952 0.2689
O11 0.3488 0.1935 0.1230
O12 0.3488 0.3065 0.6230
O13 0.3603 0.5726 0.0604
O14 0.3603 0.9274 0.5604
O15 0.4423 0.0234 0.7763
O16 0.4423 0.4766 0.2763
O17 0.5577 0.5234 0.7237
O18 0.5577 0.9766 0.2237
O19 0.6397 0.0726 0.4396
O20 0.6397 0.4274 0.9396
O21 0.6512 0.6935 0.3770
O22 0.6512 0.8065 0.8770
O23 0.6935 0.0048 0.7311
O24 0.6935 0.4952 0.2311
O25 0.7089 0.1424 0.0602
O26 0.7089 0.3576 0.5602
O27 0.8596 0.5243 0.8400
O28 0.8596 0.9757 0.3400
O29 0.8843 0.2318 0.9579
O30 0.8843 0.2682 0.4579
O31 0.9431 0.7376 0.1525
O32 0.9431 0.7624 0.6525
```

=====

MgTe4Mo2W2Se2S2: computed powder XRD pattern (Cu Ka), based on a structure optimized by DFT (GGA-PBE).
Neutral-atom scattering factors, no anomalous dispersion.

The 12 most intense peaks (2θ from 15° to 90°), in order of falling intensity:
2θ 35.3, I = 100.0
2θ 42.8, I = 56.6
2θ 30.0, I = 37.7
2θ 53.3, I = 33.4
2θ 38.0, I = 32.7
2θ 32.2, I = 19.6
2θ 33.1, I = 17.9
2θ 30.4, I = 17.9
2θ 75.4, I = 17.7
2θ 65.6, I = 16.2
2θ 44.6, I = 14.2
2θ 70.7, I = 12.6

Crystal structure
```
data_MgTe4Mo2W2Se2S2
_space_group_name_H-M_alt 'P 1'
_space_group_IT_number 1
_cell_length_a 3.4372
_cell_length_b 3.4372
_cell_length_c 38.9926
_cell_angle_alpha 90.03
_cell_angle_beta 90.03
_cell_angle_gamma 59.96
loop_
_space_group_symop_operation_xyz
'x,y,z'
loop_
_atom_site_label
_atom_site_fract_x
_atom_site_fract_y
_atom_site_fract_z
Mg1 0.0000 0.0000 0.0000
Te1 0.3326 0.3326 0.2399
Te2 0.3332 0.3332 0.3357
Te3 0.6660 0.6660 0.6762
Te4 0.6664 0.6664 0.7720
Mo1 0.3328 0.3328 0.1012
Mo2 0.6669 0.6669 0.9104
W1 0.3329 0.3329 0.7241
W2 0.6662 0.6662 0.2878
Se1 0.6658 0.6658 0.0574
Se2 0.6663 0.6663 0.1428
S1 0.3319 0.3319 0.9513
S2 0.3334 0.3334 0.8731
```

=====

Mg: computed powder XRD pattern (Cu Ka), based on a structure optimized by DFT (GGA-PBE).
Neutral-atom scattering factors, no anomalous dispersion.

The 12 most intense peaks (2θ from 15° to 90°), in order of falling intensity:
2θ 36.5, I = 100.0
2θ 36.7, I = 98.7
2θ 35.2, I = 56.9
2θ 37.0, I = 42.9
2θ 53.6, I = 16.6
2θ 32.0, I = 15.7
2θ 24.4, I = 15.2
2θ 51.8, I = 15.2
2θ 52.1, I = 15.0
2θ 17.4, I = 14.5
2θ 66.9, I = 14.1
2θ 26.8, I = 14.1

Crystal structure
```
data_Mg
_space_group_name_H-M_alt 'P 1'
_space_group_IT_number 1
_cell_length_a 3.4214
_cell_length_b 5.1027
_cell_length_c 14.5957
_cell_angle_alpha 89.73
_cell_angle_beta 89.98
_cell_angle_gamma 89.62
loop_
_space_group_symop_operation_xyz
'x,y,z'
loop_
_atom_site_label
_atom_site_fract_x
_atom_site_fract_y
_atom_site_fract_z
Mg1 0.2499 0.0092 0.3998
Mg2 0.2498 0.0098 0.1006
Mg3 0.2500 0.4899 0.9182
Mg4 0.2500 0.4906 0.5817
Mg5 0.2498 0.5209 0.2501
Mg6 0.7502 0.4791 0.7499
Mg7 0.7500 0.5094 0.4183
Mg8 0.7500 0.5101 0.0818
Mg9 0.7502 0.9902 0.8994
Mg10 0.7501 0.9908 0.6002
```

=====

Cs2SbAuBr6: computed powder XRD pattern (Cu Ka), based on a structure optimized by DFT (GGA-PBE).
Neutral-atom scattering factors, no anomalous dispersion.

The 12 most intense peaks (2θ from 15° to 90°), in order of falling intensity:
2θ 31.5, I = 100.0
2θ 45.2, I = 72.7
2θ 22.1, I = 71.4
2θ 38.9, I = 33.9
2θ 27.2, I = 32.7
2θ 74.8, I = 32.7
2θ 56.1, I = 25.3
2θ 83.4, I = 25.0
2θ 15.6, I = 23.3
2θ 61.1, I = 18.2
2θ 50.9, I = 15.7
2θ 53.5, I = 13.8

Crystal structure
```
data_Cs2SbAuBr6
_space_group_name_H-M_alt 'P 1'
_space_group_IT_number 1
_cell_length_a 8.0270
_cell_length_b 8.0270
_cell_length_c 8.0270
_cell_angle_alpha 60.00
_cell_angle_beta 60.00
_cell_angle_gamma 60.00
loop_
_space_group_symop_operation_xyz
'x,y,z'
loop_
_atom_site_label
_atom_site_fract_x
_atom_site_fract_y
_atom_site_fract_z
Cs1 0.2500 0.2500 0.2500
Cs2 0.7500 0.7500 0.7500
Sb1 0.0000 0.0000 0.0000
Au1 0.5000 0.5000 0.5000
Br1 0.2501 0.2501 0.7499
Br2 0.2501 0.7499 0.2501
Br3 0.2501 0.7499 0.7499
Br4 0.7499 0.2501 0.2501
Br5 0.7499 0.2501 0.7499
Br6 0.7499 0.7499 0.2501
```

=====

KZrO3: computed powder XRD pattern (Cu Ka), based on a structure optimized by DFT (GGA-PBE).
Neutral-atom scattering factors, no anomalous dispersion.

The 11 most intense peaks (2θ from 15° to 90°), in order of falling intensity:
2θ 29.8, I = 100.0
2θ 42.7, I = 43.2
2θ 21.0, I = 43.0
2θ 52.9, I = 38.3
2θ 61.9, I = 24.9
2θ 85.8, I = 18.8
2θ 48.0, I = 18.2
2θ 70.2, I = 16.0
2θ 66.1, I = 8.3
2θ 78.1, I = 7.8
2θ 82.0, I = 3.5

Crystal structure
```
data_KZrO3
_space_group_name_H-M_alt 'P 1'
_space_group_IT_number 1
_cell_length_a 4.2383
_cell_length_b 4.2383
_cell_length_c 4.2383
_cell_angle_alpha 90.00
_cell_angle_beta 90.00
_cell_angle_gamma 90.00
loop_
_space_group_symop_operation_xyz
'x,y,z'
loop_
_atom_site_label
_atom_site_fract_x
_atom_site_fract_y
_atom_site_fract_z
K1 0.0000 0.0000 0.0000
Zr1 0.5000 0.5000 0.5000
O1 0.0000 0.5000 0.5000
O2 0.5000 0.0000 0.5000
O3 0.5000 0.5000 0.0000
```

=====

CeCrS3: computed powder XRD pattern (Cu Ka), based on a structure optimized by DFT (GGA-PBE).
Neutral-atom scattering factors, no anomalous dispersion.

The 12 most intense peaks (2θ from 15° to 90°), in order of falling intensity:
2θ 36.0, I = 100.0
2θ 23.6, I = 69.2
2θ 23.9, I = 58.4
2θ 33.8, I = 57.2
2θ 24.6, I = 45.1
2θ 42.4, I = 43.4
2θ 33.6, I = 43.1
2θ 29.7, I = 38.3
2θ 36.7, I = 36.9
2θ 48.3, I = 36.9
2θ 47.5, I = 32.7
2θ 54.4, I = 29.3

Crystal structure
```
data_CeCrS3
_space_group_name_H-M_alt 'P 1'
_space_group_IT_number 1
_cell_length_a 7.7823
_cell_length_b 3.7723
_cell_length_c 12.9158
_cell_angle_alpha 90.00
_cell_angle_beta 90.00
_cell_angle_gamma 90.00
loop_
_space_group_symop_operation_xyz
'x,y,z'
loop_
_atom_site_label
_atom_site_fract_x
_atom_site_fract_y
_atom_site_fract_z
Ce1 0.0870 0.2500 0.1728
Ce2 0.4130 0.7500 0.6728
Ce3 0.5870 0.2500 0.3272
Ce4 0.9130 0.7500 0.8272
Cr1 0.1630 0.7500 0.4475
Cr2 0.3370 0.2500 0.9475
Cr3 0.6630 0.7500 0.0525
Cr4 0.8370 0.2500 0.5525
S1 0.0128 0.7500 0.6072
S2 0.1604 0.7500 0.0066
S3 0.1923 0.2500 0.7855
S4 0.3077 0.7500 0.2855
S5 0.3396 0.2500 0.5066
S6 0.4872 0.2500 0.1072
S7 0.5128 0.7500 0.8928
S8 0.6604 0.7500 0.4934
S9 0.6923 0.2500 0.7145
S10 0.8077 0.7500 0.2145
S11 0.8396 0.2500 0.9934
S12 0.9872 0.2500 0.3928
```

=====

MgSi2: computed powder XRD pattern (Cu Ka), based on a structure optimized by DFT (GGA-PBE).
Neutral-atom scattering factors, no anomalous dispersion.

The 12 most intense peaks (2θ from 15° to 90°), in order of falling intensity:
2θ 35.0, I = 100.0
2θ 40.4, I = 67.8
2θ 29.9, I = 34.5
2θ 38.8, I = 34.0
2θ 40.8, I = 32.3
2θ 47.1, I = 30.9
2θ 35.7, I = 30.4
2θ 32.8, I = 30.1
2θ 33.2, I = 29.7
2θ 47.7, I = 26.7
2θ 43.4, I = 20.5
2θ 40.0, I = 19.3

Crystal structure
```
data_MgSi2
_space_group_name_H-M_alt 'P 1'
_space_group_IT_number 1
_cell_length_a 6.2234
_cell_length_b 6.8624
_cell_length_c 10.2634
_cell_angle_alpha 90.26
_cell_angle_beta 91.52
_cell_angle_gamma 90.75
loop_
_space_group_symop_operation_xyz
'x,y,z'
loop_
_atom_site_label
_atom_site_fract_x
_atom_site_fract_y
_atom_site_fract_z
Mg1 0.0000 0.0000 0.0000
Mg2 0.0441 0.5626 0.2229
Mg3 0.2612 0.3517 0.4784
Mg4 0.4313 0.4365 0.7675
Mg5 0.5034 0.0854 0.9856
Mg6 0.5852 0.6383 0.2763
Mg7 0.7527 0.2399 0.4955
Mg8 0.9470 0.5538 0.7331
Si1 0.0805 0.9477 0.5067
Si2 0.1185 0.1343 0.7072
Si3 0.2241 0.3826 0.0045
Si4 0.2466 0.8324 0.8047
Si5 0.2628 0.9284 0.2270
Si6 0.3374 0.7188 0.0366
Si7 0.3574 0.2705 0.2172
Si8 0.4515 0.9468 0.4454
Si9 0.5756 0.6424 0.5473
Si10 0.6183 0.8401 0.7532
Si11 0.7095 0.7092 0.9788
Si12 0.7444 0.2624 0.1976
Si13 0.7580 0.1805 0.7746
Si14 0.8391 0.3803 0.9808
Si15 0.8793 0.9500 0.2859
Si16 0.9400 0.6207 0.4746
```